This entry pairs a crystal structure of HfMo6W with its computed X-ray diffraction stick pattern. Radiation: Cu Ka. Structure: a cell relaxed with GGA-PBE.

a = 7.316 Å, b = 5.313 Å, c = 7.810 Å
α = 90.00°, β = 103.24°, γ = 90.00°
Space group C2/m (No. 12)
Unique sites:
Hf  0.000  0.000  0.000
Mo  0.129  0.000  0.416
Mo  0.201  0.239  0.784
W  0.000  0.500  0.500

The 10 most intense peaks (2θ from 10° to 80°), sorted by position:
two_theta	I (rel.)	h k l
22.49	62	1 1 -1
30.21	26	2 0 -2
38.39	79	2 0 2
38.60	30	2 0 -3
38.78	50	1 1 -3
40.84	51	3 1 -1
41.47	100	0 2 2
42.46	85	2 2 0
45.85	26	3 1 1
70.83	25	2 2 4